1.
Simulated powder diffraction line list of MnAs2O7 for copper Kα, from DFT lattice parameters and positions (GGA+U).
Kinematic intensities with the Lorentz-polarization factor, no thermal factor.

Structure:
Lattice parameters (Å, degrees): 6.9424 9.3132 9.6307 90.00 105.71 90.00
Fractional coordinates of all 40 atoms:
Mn: 0.2004 0.0661 0.3026
Mn: 0.2004 0.4339 0.8026
Mn: 0.7996 0.5661 0.1974
Mn: 0.7996 0.9339 0.6974
As: 0.0312 0.7044 0.9640
As: 0.0312 0.7956 0.4640
As: 0.4102 0.7487 0.7507
As: 0.4102 0.7513 0.2507
As: 0.5898 0.2487 0.7493
As: 0.5898 0.2513 0.2493
As: 0.9688 0.2044 0.5360
As: 0.9688 0.2956 0.0360
O: 0.0278 0.5809 0.8315
O: 0.0278 0.9191 0.3315
O: 0.0334 0.6278 0.3879
O: 0.0334 0.8722 0.8879
O: 0.1613 0.1859 0.4602
O: 0.1613 0.3141 0.9602
O: 0.2536 0.6609 0.0986
O: 0.2536 0.8391 0.5986
O: 0.3538 0.2270 0.2660
O: 0.3538 0.2730 0.7660
O: 0.3731 0.6617 0.3974
O: 0.3731 0.8383 0.8974
O: 0.3777 0.5660 0.7433
O: 0.3777 0.9340 0.2433
O: 0.6223 0.0660 0.7567
O: 0.6223 0.4340 0.2567
O: 0.6269 0.1617 0.1026
O: 0.6269 0.3383 0.6026
O: 0.6462 0.7270 0.2340
O: 0.6462 0.7730 0.7340
O: 0.7464 0.1609 0.4014
O: 0.7464 0.3391 0.9014
O: 0.8387 0.6859 0.0398
O: 0.8387 0.8141 0.5398
O: 0.9666 0.1278 0.1121
O: 0.9666 0.3722 0.6121
O: 0.9722 0.0809 0.6685
O: 0.9722 0.4191 0.1685

Main lines, low angle first (2θ = 5–70°):
| 2θ (°) | intensity |
| --- | --- |
| 13.48 | 39.2 |
| 19.08 | 100.0 |
| 20.14 | 33.9 |
| 20.70 | 60.0 |
| 26.20 | 79.9 |
| 27.87 | 93.3 |
| 29.99 | 80.6 |
| 32.60 | 41.6 |

=====

2.
Simulated powder diffraction line list of Co2OF3 for copper Kα, from DFT lattice parameters and positions (GGA+U).
Kinematic intensities with the Lorentz-polarization factor, no thermal factor.

Structure:
Lattice parameters (Å, degrees): 15.7513 4.7059 4.7059 93.55 90.00 90.00
Fractional coordinates of all 30 atoms:
Co: 0.0000 0.0000 0.0000
Co: 0.0998 0.4648 0.4648
Co: 0.1992 0.9274 0.9274
Co: 0.2994 0.4588 0.4588
Co: 0.3991 0.9921 0.9921
Co: 0.5000 0.4544 0.4544
Co: 0.6009 0.9921 0.9921
Co: 0.7006 0.4588 0.4588
Co: 0.8008 0.9274 0.9274
Co: 0.9002 0.4648 0.4648
O: 0.0000 0.2753 0.2753
O: 0.2004 0.6519 0.6519
O: 0.3989 0.2679 0.2679
O: 0.6011 0.2679 0.2679
O: 0.7996 0.6519 0.6519
F: 0.0000 0.6857 0.6857
F: 0.0998 0.1583 0.7703
F: 0.0998 0.7703 0.1583
F: 0.1993 0.2416 0.2416
F: 0.2996 0.1530 0.7653
F: 0.2996 0.7653 0.1530
F: 0.4011 0.6794 0.6794
F: 0.5000 0.1666 0.7769
F: 0.5000 0.7769 0.1666
F: 0.5989 0.6794 0.6794
F: 0.7004 0.1530 0.7653
F: 0.7004 0.7653 0.1530
F: 0.8007 0.2416 0.2416
F: 0.9002 0.1583 0.7703
F: 0.9002 0.7703 0.1583

Main lines, low angle first (2θ = 5–70°):
| 2θ (°) | intensity |
| --- | --- |
| 25.98 | 91.2 |
| 27.68 | 73.5 |
| 34.27 | 100.0 |
| 40.03 | 18.7 |
| 51.38 | 63.2 |
| 53.31 | 39.7 |
| 58.61 | 17.6 |
| 66.72 | 33.1 |

=====

3.
Simulated powder diffraction line list of LiVO2 for copper Kα, from DFT lattice parameters and positions (GGA+U).
Kinematic intensities with the Lorentz-polarization factor, no thermal factor.

Structure:
Lattice parameters (Å, degrees): 2.9875 2.9875 5.2291 107.31 107.31 59.64
Fractional coordinates of all 4 atoms:
Li: 0.0000 0.0000 0.0000
V: 0.5000 0.5000 0.5000
O: 0.2410 0.2410 0.7303
O: 0.7590 0.7590 0.2697

Main lines, low angle first (2θ = 5–70°):
| 2θ (°) | intensity |
| --- | --- |
| 18.06 | 100.0 |
| 35.07 | 14.4 |
| 35.39 | 26.2 |
| 36.88 | 9.4 |
| 42.37 | 30.9 |
| 42.96 | 58.7 |
| 61.70 | 16.2 |
| 62.17 | 24.1 |

=====

4.
Simulated powder diffraction line list of Co5Te4Br2O12 for copper Kα, from DFT lattice parameters and positions (GGA+U).
Kinematic intensities with the Lorentz-polarization factor, no thermal factor.

Structure:
Lattice parameters (Å, degrees): 10.7406 10.7406 16.5581 123.22 123.22 28.75
Fractional coordinates of all 46 atoms:
Co: 0.1305 0.6970 0.5269
Co: 0.2095 0.7734 0.3812
Co: 0.2266 0.7905 0.1188
Co: 0.2363 0.7637 0.7500
Co: 0.3030 0.8695 0.9731
Co: 0.6970 0.1305 0.0269
Co: 0.7637 0.2363 0.2500
Co: 0.7734 0.2095 0.8812
Co: 0.7905 0.2266 0.6188
Co: 0.8695 0.3030 0.4731
Te: 0.1488 0.5685 0.1233
Te: 0.1939 0.5627 0.8623
Te: 0.4315 0.8512 0.3767
Te: 0.4373 0.8061 0.6377
Te: 0.5627 0.1939 0.3623
Te: 0.5685 0.1488 0.6233
Te: 0.8061 0.4373 0.1377
Te: 0.8512 0.4315 0.8767
Br: 0.0938 0.4351 0.4015
Br: 0.4351 0.0938 0.9015
Br: 0.5649 0.9062 0.0985
Br: 0.9062 0.5649 0.5985
O: 0.0505 0.7632 0.9799
O: 0.0667 0.0847 0.8552
O: 0.0847 0.0667 0.3552
O: 0.1228 0.7978 0.8577
O: 0.2022 0.8772 0.6423
O: 0.2300 0.5489 0.2520
O: 0.2368 0.9495 0.5201
O: 0.3173 0.5463 0.4314
O: 0.4316 0.4455 0.6328
O: 0.4455 0.4316 0.1328
O: 0.4511 0.7700 0.2480
O: 0.4537 0.6827 0.0686
O: 0.5463 0.3173 0.9314
O: 0.5489 0.2300 0.7520
O: 0.5545 0.5684 0.8672
O: 0.5684 0.5545 0.3672
O: 0.6827 0.4537 0.5686
O: 0.7632 0.0505 0.4799
O: 0.7700 0.4511 0.7480
O: 0.7978 0.1228 0.3577
O: 0.8772 0.2022 0.1423
O: 0.9153 0.9333 0.6448
O: 0.9333 0.9153 0.1448
O: 0.9495 0.2368 0.0201

Main lines, low angle first (2θ = 5–70°):
| 2θ (°) | intensity |
| --- | --- |
| 10.31 | 40.8 |
| 23.63 | 35.4 |
| 26.09 | 83.0 |
| 27.62 | 100.0 |
| 28.40 | 63.0 |
| 33.60 | 43.7 |
| 34.57 | 47.7 |
| 34.69 | 47.7 |

=====

5.
Simulated powder diffraction line list of NaSrMnBiO6 for copper Kα, from DFT lattice parameters and positions (GGA+U).
Kinematic intensities with the Lorentz-polarization factor, no thermal factor.

Structure:
Lattice parameters (Å, degrees): 5.7076 5.7076 5.7076 60.00 60.00 60.00
Fractional coordinates of all 10 atoms:
Na: 0.0000 0.0000 0.0000
Sr: 0.5000 0.5000 0.5000
Mn: 0.2500 0.2500 0.2500
Bi: 0.7500 0.7500 0.7500
O: 0.0106 0.0106 0.4894
O: 0.0106 0.4894 0.0106
O: 0.0106 0.4894 0.4894
O: 0.4894 0.0106 0.0106
O: 0.4894 0.0106 0.4894
O: 0.4894 0.4894 0.0106

Main lines, low angle first (2θ = 5–70°):
| 2θ (°) | intensity |
| --- | --- |
| 19.04 | 44.5 |
| 22.02 | 35.2 |
| 31.35 | 100.0 |
| 36.94 | 30.4 |
| 44.92 | 34.4 |
| 49.20 | 15.2 |
| 55.80 | 40.0 |
| 65.41 | 20.7 |

=====

6.
Simulated powder diffraction line list of Li5NiO3F2 for copper Kα, from DFT lattice parameters and positions (GGA+U).
Kinematic intensities with the Lorentz-polarization factor, no thermal factor.

Structure:
Lattice parameters (Å, degrees): 5.0791 5.0791 5.8627 107.35 107.35 45.52
Fractional coordinates of all 11 atoms:
Li: 0.0000 0.0000 0.0000
Li: 0.3063 0.3063 0.1977
Li: 0.3258 0.3258 0.6251
Li: 0.6742 0.6742 0.3749
Li: 0.6937 0.6937 0.8023
Ni: 0.0000 0.0000 0.5000
O: 0.1379 0.1379 0.3233
O: 0.5000 0.5000 0.5000
O: 0.8621 0.8621 0.6767
F: 0.1773 0.1773 0.8456
F: 0.8227 0.8227 0.1544

Main lines, low angle first (2θ = 5–70°):
| 2θ (°) | intensity |
| --- | --- |
| 15.98 | 100.0 |
| 20.03 | 19.3 |
| 21.23 | 64.0 |
| 24.78 | 91.3 |
| 29.59 | 32.7 |
| 43.24 | 36.5 |
| 43.75 | 51.7 |
| 46.20 | 33.6 |

=====

7.
Simulated powder diffraction line list of LiFeF4 for copper Kα, from DFT lattice parameters and positions (GGA+U).
Kinematic intensities with the Lorentz-polarization factor, no thermal factor.

Structure:
Lattice parameters (Å, degrees): 6.0522 6.0522 5.3238 92.90 92.90 55.89
Fractional coordinates of all 12 atoms:
Li: 0.0000 0.5000 0.0000
Li: 0.5000 0.0000 0.5000
Fe: 0.1653 0.8347 0.2500
Fe: 0.8347 0.1653 0.7500
F: 0.0071 0.8046 0.9143
F: 0.1954 0.9929 0.5857
F: 0.2309 0.4973 0.2906
F: 0.4973 0.2309 0.7906
F: 0.5027 0.7691 0.2094
F: 0.7691 0.5027 0.7094
F: 0.8046 0.0071 0.4143
F: 0.9929 0.1954 0.0857

Main lines, low angle first (2θ = 5–70°):
| 2θ (°) | intensity |
| --- | --- |
| 16.61 | 98.3 |
| 17.71 | 65.3 |
| 24.08 | 100.0 |
| 24.75 | 44.1 |
| 29.64 | 24.5 |
| 38.70 | 29.4 |
| 39.35 | 40.8 |
| 49.25 | 40.3 |

=====

- Number 3 is which compound?
  LiVO2